Diffraction record for Nd2ZrCoO6. The XRD peak list is calculated, not measured: it uses a cell relaxed with PBE+U and λ = 1.5418 Å (Cu Kα).
Kinematic intensities with the Lorentz-polarization factor, no thermal factor.

The 10 most intense peaks (2θ from 5° to 70°), sorted by position:
2θ/deg	d (Å)	I (rel.)	(hkl)
21.9	4.053	22.4	0 0 2
30.5	2.931	38.8	0 2 0
31.0	2.886	100.0	1 1 1
31.4	2.848	97.2	1 1 -3
32.0	2.799	44.6	2 0 -2
44.6	2.030	27.0	0 0 4
44.8	2.024	37.3	2 2 -2
55.0	1.669	18.6	0 2 4
56.1	1.639	21.7	3 1 -1
56.9	1.618	21.3	3 1 -5

```
20
Lattice="5.598 0.000 0.000 0.000 5.862 0.000 -5.450 0.000 8.119" Properties=species:S:1:pos:R:3 pbc="T T T"
Nd -0.076 0.357 2.008
Nd -2.801 2.574 6.068
Nd 2.949 3.288 2.051
Nd 0.224 5.505 6.110
Zr 2.799 0.000 0.000
Zr 0.074 2.931 4.059
Co -2.725 0.000 4.059
Co 0.000 2.931 0.000
O -4.352 1.158 7.657
O -1.627 1.773 3.597
O -3.758 4.125 7.600
O -1.033 4.668 3.541
O -2.036 0.264 6.108
O 0.689 2.667 2.049
O -0.541 3.195 6.070
O 2.184 5.598 2.010
O 1.181 1.194 4.578
O 3.906 1.737 0.518
O 1.775 4.089 4.521
O 4.500 4.704 0.462
```